1.
Computed X-ray powder pattern of Rb2Sn2PbS4 for Cu Kα (weighted mean of Kα1 and Kα2), from a crystal structure in Alexandria, relaxed with GGA-PBE.

```
data_Rb2Sn2PbS4
_chemical_formula_sum 'Rb4 Sn4 Pb2 S8'
_space_group_name_H-M_alt 'C 1 2/m 1'
_space_group_IT_number 12
_cell_length_a 17.8539
_cell_length_b 4.1340
_cell_length_c 8.6182
_cell_angle_alpha 90.00
_cell_angle_beta 118.28
_cell_angle_gamma 90.00
loop_
_space_group_symop_operation_xyz
'x,y,z'
'-x,-y,-z'
'-x,y,-z'
'x,-y,z'
'x+1/2,y+1/2,z'
'-x+1/2,-y+1/2,-z'
'-x+1/2,y+1/2,-z'
'x+1/2,-y+1/2,z'
loop_
_atom_site_label
_atom_site_type_symbol
_atom_site_fract_x
_atom_site_fract_y
_atom_site_fract_z
_atom_site_occupancy
Rb1 Rb 0.1157 0.0000 0.0323 1
Sn1 Sn 0.1926 0.5000 0.5504 1
Pb1 Pb 0.0000 0.0000 0.5000 1
S1 S 0.0427 0.5000 0.2941 1
S2 S 0.1862 0.0000 0.7426 1
```

Peak list (12 most intense, 2θ = 10–90°, in order of rising 2θ)
hkl, d_spacing, I/Imax
0 0 1, 7.590, 97
1 1 0, 3.998, 25
0 0 2, 3.795, 46
3 1 -1, 3.362, 100
4 0 1, 2.964, 51
6 0 -1, 2.944, 29
3 1 -2, 2.928, 86
3 1 1, 2.711, 45
1 1 2, 2.600, 24
6 0 -3, 2.508, 33
3 1 -3, 2.359, 30
0 2 0, 2.067, 27

2.
Computed X-ray powder pattern of CsScF4 for Cu Kα (weighted mean of Kα1 and Kα2), from a crystal structure in Alexandria, relaxed with GGA-PBE.

```
data_CsScF4
_chemical_formula_sum 'Cs4 Sc4 F16'
_space_group_name_H-M_alt 'C m c m'
_space_group_IT_number 63
_space_group_name_Hall '-C 2c 2'
_cell_length_a 4.1840
_cell_length_b 16.9057
_cell_length_c 6.6925
_cell_angle_alpha 90.00
_cell_angle_beta 90.00
_cell_angle_gamma 90.00
loop_
_atom_site_label
_atom_site_type_symbol
_atom_site_fract_x
_atom_site_fract_y
_atom_site_fract_z
_atom_site_occupancy
Cs1 Cs 0.0000 0.1725 0.2500 1
Sc1 Sc 0.0000 0.4234 0.2500 1
F1 F 0.0000 0.0671 0.7500 1
F2 F 0.0000 0.3373 0.0513 1
F3 F 0.0000 0.5000 0.0000 1
```

Peak list (12 most intense, 2θ = 10–90°, in order of rising 2θ)
hkl, d_spacing, I/Imax
0 4 1, 3.573, 85
1 1 1, 3.472, 100
1 3 0, 3.359, 28
0 0 2, 3.346, 24
1 5 1, 2.448, 19
1 3 2, 2.371, 36
2 0 0, 2.092, 20
1 5 2, 2.068, 23
1 7 1, 1.996, 16
0 4 3, 1.973, 22
2 4 1, 1.805, 23
2 0 2, 1.774, 14

3.
Computed X-ray powder pattern of Pu2P2I for Cu Kα (weighted mean of Kα1 and Kα2), from a crystal structure in Alexandria, relaxed with GGA-PBE.

```
data_Pu2P2I
_chemical_formula_sum 'Pu8 P8 I4'
_space_group_name_H-M_alt 'I m m a'
_space_group_IT_number 74
_space_group_name_Hall '-I 2b 2'
_cell_length_a 7.5595
_cell_length_b 16.5834
_cell_length_c 4.0847
_cell_angle_alpha 90.00
_cell_angle_beta 90.00
_cell_angle_gamma 90.00
loop_
_atom_site_label
_atom_site_type_symbol
_atom_site_fract_x
_atom_site_fract_y
_atom_site_fract_z
_atom_site_occupancy
Pu1 Pu 0.2500 0.0919 0.2500 1
P1 P 0.0000 0.0475 0.7103 1
I1 I 0.0000 0.2500 0.0841 1
```

Peak list (12 most intense, 2θ = 10–90°, in order of rising 2θ)
hkl, d_spacing, I/Imax
0 2 0, 8.292, 18
0 1 1, 3.966, 46
2 0 0, 3.780, 17
2 2 0, 3.439, 25
0 3 1, 3.285, 39
2 4 0, 2.793, 45
0 6 0, 2.764, 35
2 1 1, 2.736, 18
2 3 1, 2.479, 100
0 7 1, 2.049, 20
2 0 2, 1.797, 15
2 6 2, 1.506, 17

4.
Computed X-ray powder pattern of LiTiHg for Cu Kα (weighted mean of Kα1 and Kα2), from a crystal structure in Alexandria, relaxed with GGA-PBE.

```
data_LiTiHg
_chemical_formula_sum 'Li4 Ti4 Hg4'
_space_group_name_H-M_alt 'C 1 2/m 1'
_space_group_IT_number 12
_cell_length_a 4.5761
_cell_length_b 4.5995
_cell_length_c 10.3289
_cell_angle_alpha 90.00
_cell_angle_beta 90.08
_cell_angle_gamma 90.00
loop_
_space_group_symop_operation_xyz
'x,y,z'
'-x,-y,-z'
'-x,y,-z'
'x,-y,z'
'x+1/2,y+1/2,z'
'-x+1/2,-y+1/2,-z'
'-x+1/2,y+1/2,-z'
'x+1/2,-y+1/2,z'
loop_
_atom_site_label
_atom_site_type_symbol
_atom_site_fract_x
_atom_site_fract_y
_atom_site_fract_z
_atom_site_occupancy
Li1 Li 0.2502 0.0000 0.2428 1
Ti1 Ti 0.2497 0.0000 0.5763 1
Hg1 Hg 0.2501 0.0000 0.8906 1
```

Peak list (12 most intense, 2θ = 10–90°, in order of rising 2θ)
hkl, d_spacing, I/Imax
1 1 -1, 3.095, 83
1 1 2, 2.747, 72
0 0 4, 2.582, 24
1 1 3, 2.361, 100
0 2 0, 2.300, 28
2 0 0, 2.288, 28
0 2 4, 1.717, 14
2 0 -4, 1.712, 14
2 2 0, 1.622, 19
1 1 6, 1.521, 16
1 3 3, 1.339, 16
3 1 3, 1.335, 16

5.
Computed X-ray powder pattern of V7Au2C2 for Cu Kα (weighted mean of Kα1 and Kα2), from a crystal structure in Alexandria, relaxed with GGA-PBE.

```
data_V7Au2C2
_chemical_formula_sum 'V14 Au4 C4'
_space_group_name_H-M_alt 'C 1 2/m 1'
_space_group_IT_number 12
_cell_length_a 8.9968
_cell_length_b 6.0990
_cell_length_c 5.6478
_cell_angle_alpha 90.00
_cell_angle_beta 96.73
_cell_angle_gamma 90.00
loop_
_space_group_symop_operation_xyz
'x,y,z'
'-x,-y,-z'
'-x,y,-z'
'x,-y,z'
'x+1/2,y+1/2,z'
'-x+1/2,-y+1/2,-z'
'-x+1/2,y+1/2,-z'
'x+1/2,-y+1/2,z'
loop_
_atom_site_label
_atom_site_type_symbol
_atom_site_fract_x
_atom_site_fract_y
_atom_site_fract_z
_atom_site_occupancy
V1 V 0.0000 0.0000 0.0000 1
V2 V 0.0487 0.5000 0.8297 1
V3 V 0.2236 0.2769 0.2184 1
Au1 Au 0.0000 0.2116 0.5000 1
C1 C 0.2297 0.0000 0.0281 1
```

Peak list (12 most intense, 2θ = 10–90°, in order of rising 2θ)
hkl, d_spacing, I/Imax
0 0 1, 5.609, 72
2 0 0, 4.467, 86
2 0 -1, 3.713, 71
2 0 1, 3.310, 64
0 2 0, 3.049, 48
0 2 1, 2.679, 100
2 0 -2, 2.512, 61
2 2 -1, 2.357, 43
2 0 2, 2.259, 53
2 2 1, 2.243, 98
4 0 0, 2.234, 65
2 2 -2, 1.939, 70

6.
Computed X-ray powder pattern of Nb6SnGe for Cu Kα (weighted mean of Kα1 and Kα2), from a crystal structure in Alexandria, relaxed with GGA-PBE.

```
data_Nb6SnGe
_chemical_formula_sum 'Nb6 Sn1 Ge1'
_space_group_name_H-M_alt 'P m -3'
_space_group_IT_number 200
_space_group_name_Hall '-P 2 2 3'
_cell_length_a 5.2602
_cell_length_b 5.2602
_cell_length_c 5.2602
_cell_angle_alpha 90.00
_cell_angle_beta 90.00
_cell_angle_gamma 90.00
loop_
_atom_site_label
_atom_site_type_symbol
_atom_site_fract_x
_atom_site_fract_y
_atom_site_fract_z
_atom_site_occupancy
Nb1 Nb 0.0000 0.2448 0.5000 1
Sn1 Sn 0.5000 0.5000 0.5000 1
Ge1 Ge 0.0000 0.0000 0.0000 1
```

Peak list (12 most intense, 2θ = 10–90°, in order of rising 2θ)
hkl, d_spacing, I/Imax
1 0 0, 5.260, 2
1 1 1, 3.037, 2
2 0 0, 2.630, 35
2 0 1, 2.352, 100
2 1 1, 2.147, 78
2 2 2, 1.518, 8
3 2 0, 1.459, 22
3 1 2, 1.406, 40
4 0 0, 1.315, 15
4 2 0, 1.176, 11
4 1 2, 1.148, 19
3 3 2, 1.121, 10

7.
Computed X-ray powder pattern of Ac2Pd3 for Cu Kα (weighted mean of Kα1 and Kα2), from a crystal structure in Alexandria, relaxed with GGA-PBE.

```
data_Ac2Pd3
_chemical_formula_sum 'Ac6 Pd9'
_space_group_name_H-M_alt 'R -3 m'
_space_group_IT_number 166
_space_group_name_Hall '-R 3 2"'
_cell_length_a 4.5752
_cell_length_b 4.5752
_cell_length_c 22.4434
_cell_angle_alpha 90.00
_cell_angle_beta 90.00
_cell_angle_gamma 120.00
loop_
_atom_site_label
_atom_site_type_symbol
_atom_site_fract_x
_atom_site_fract_y
_atom_site_fract_z
_atom_site_occupancy
Ac1 Ac 0.0000 0.0000 0.0882 1
Pd1 Pd 0.0000 0.0000 0.3369 1
Pd2 Pd 0.0000 0.0000 0.5000 1
```

Peak list (12 most intense, 2θ = 10–90°, in order of rising 2θ)
hkl, d_spacing, I/Imax
0 1 2, 3.737, 22
1 0 4, 3.237, 27
0 1 5, 2.970, 100
1 0 7, 2.492, 58
1 1 0, 2.288, 79
0 0 12, 1.870, 19
2 0 5, 1.813, 29
0 2 7, 1.685, 22
1 1 12, 1.448, 39
1 2 5, 1.421, 24
2 1 7, 1.357, 16
3 0 0, 1.321, 18

8.
Computed X-ray powder pattern of Zn2FeNi5B2 for Cu Kα (weighted mean of Kα1 and Kα2), from a crystal structure in Alexandria, relaxed with GGA-PBE.

```
data_Zn2FeNi5B2
_chemical_formula_sum 'Zn4 Fe2 Ni10 B4'
_space_group_name_H-M_alt 'P 4/m b m'
_space_group_IT_number 127
_space_group_name_Hall '-P 4 2ab'
_cell_length_a 8.6705
_cell_length_b 8.6705
_cell_length_c 2.8357
_cell_angle_alpha 90.00
_cell_angle_beta 90.00
_cell_angle_gamma 90.00
loop_
_atom_site_label
_atom_site_type_symbol
_atom_site_fract_x
_atom_site_fract_y
_atom_site_fract_z
_atom_site_occupancy
Zn1 Zn 0.1790 0.3210 0.0000 1
Fe1 Fe 0.0000 0.0000 0.0000 1
Ni1 Ni 0.0000 0.5000 0.5000 1
Ni2 Ni 0.0679 0.7792 0.5000 1
B1 B 0.1226 0.6226 0.0000 1
```

Peak list (12 most intense, 2θ = 10–90°, in order of rising 2θ)
hkl, d_spacing, I/Imax
2 1 1, 2.289, 74
4 1 0, 2.103, 86
2 2 1, 2.082, 43
3 3 0, 2.044, 16
3 1 1, 1.971, 100
4 2 0, 1.939, 39
3 2 1, 1.834, 35
0 0 2, 1.418, 19
6 0 1, 1.288, 15
5 4 1, 1.222, 20
4 1 2, 1.176, 31
7 1 1, 1.125, 17

9.
Computed X-ray powder pattern of Na3Pb8 for Cu Kα (weighted mean of Kα1 and Kα2), from a crystal structure in Alexandria, relaxed with GGA-PBE.

```
data_Na3Pb8
_chemical_formula_sum 'Na6 Pb16'
_space_group_name_H-M_alt 'C 1 2/m 1'
_space_group_IT_number 12
_cell_length_a 10.9676
_cell_length_b 4.8942
_cell_length_c 12.6728
_cell_angle_alpha 90.00
_cell_angle_beta 104.01
_cell_angle_gamma 90.00
loop_
_space_group_symop_operation_xyz
'x,y,z'
'-x,-y,-z'
'-x,y,-z'
'x,-y,z'
'x+1/2,y+1/2,z'
'-x+1/2,-y+1/2,-z'
'-x+1/2,y+1/2,-z'
'x+1/2,-y+1/2,z'
loop_
_atom_site_label
_atom_site_type_symbol
_atom_site_fract_x
_atom_site_fract_y
_atom_site_fract_z
_atom_site_occupancy
Na1 Na 0.0000 0.0000 0.0000 1
Na2 Na 0.0956 0.0000 0.6416 1
Pb1 Pb 0.0455 0.5000 0.8183 1
Pb2 Pb 0.1388 0.5000 0.4567 1
Pb3 Pb 0.1764 0.0000 0.2746 1
Pb4 Pb 0.2231 0.5000 0.0841 1
```

Peak list (12 most intense, 2θ = 10–90°, in order of rising 2θ)
hkl, d_spacing, I/Imax
2 0 -2, 4.614, 15
1 1 0, 4.446, 22
1 1 3, 2.872, 100
3 1 -2, 2.823, 96
4 0 1, 2.479, 33
2 0 -5, 2.472, 33
0 2 0, 2.447, 33
4 2 1, 1.740, 47
5 1 4, 1.503, 14
1 1 -8, 1.500, 14
1 3 3, 1.482, 28
4 4 1, 1.097, 14

10.
Computed X-ray powder pattern of Ba2VN3 for Cu Kα (weighted mean of Kα1 and Kα2), from a crystal structure in Alexandria, relaxed with GGA-PBE.

```
data_Ba2VN3
_chemical_formula_sum 'Ba16 V8 N24'
_space_group_name_H-M_alt 'C m c e'
_space_group_IT_number 64
_space_group_name_Hall '-C 2ac 2'
_cell_length_a 5.9380
_cell_length_b 11.7313
_cell_length_c 13.0873
_cell_angle_alpha 90.00
_cell_angle_beta 90.00
_cell_angle_gamma 90.00
loop_
_atom_site_label
_atom_site_type_symbol
_atom_site_fract_x
_atom_site_fract_y
_atom_site_fract_z
_atom_site_occupancy
Ba1 Ba 0.0000 0.0563 0.1450 1
Ba2 Ba 0.0000 0.1417 0.5782 1
V1 V 0.0000 0.2435 0.3324 1
N1 N 0.0000 0.0948 0.3666 1
N2 N 0.0000 0.1669 0.9427 1
N3 N 0.2500 0.2263 0.7500 1
```

Peak list (12 most intense, 2θ = 10–90°, in order of rising 2θ)
hkl, d_spacing, I/Imax
1 1 2, 4.118, 30
1 1 3, 3.368, 45
0 0 4, 3.272, 33
1 3 1, 3.169, 62
2 0 0, 2.969, 78
1 3 2, 2.922, 100
0 4 1, 2.861, 32
1 1 4, 2.784, 27
0 2 5, 2.390, 30
2 0 4, 2.199, 28
2 2 5, 1.862, 25
1 1 7, 1.763, 22

11.
Computed X-ray powder pattern of MnCu3Ni7 for Cu Kα (weighted mean of Kα1 and Kα2), from a crystal structure in Alexandria, relaxed with GGA-PBE.

```
data_MnCu3Ni7
_chemical_formula_sum 'Mn2 Cu6 Ni14'
_space_group_name_H-M_alt 'C 1 2/m 1'
_space_group_IT_number 12
_cell_length_a 8.2652
_cell_length_b 8.2163
_cell_length_c 4.4568
_cell_angle_alpha 90.00
_cell_angle_beta 114.72
_cell_angle_gamma 90.00
loop_
_space_group_symop_operation_xyz
'x,y,z'
'-x,-y,-z'
'-x,y,-z'
'x,-y,z'
'x+1/2,y+1/2,z'
'-x+1/2,-y+1/2,-z'
'-x+1/2,y+1/2,-z'
'x+1/2,-y+1/2,z'
loop_
_atom_site_label
_atom_site_type_symbol
_atom_site_fract_x
_atom_site_fract_y
_atom_site_fract_z
_atom_site_occupancy
Mn1 Mn 0.0000 0.0000 0.0000 1
Cu1 Cu 0.0000 0.2915 0.5000 1
Cu2 Cu 0.0000 0.5000 0.0000 1
Ni1 Ni 0.0000 0.0000 0.5000 1
Ni2 Ni 0.1764 0.2579 0.1758 1
Ni3 Ni 0.2175 0.5000 0.5544 1
```

Peak list (12 most intense, 2θ = 10–90°, in order of rising 2θ)
hkl, d_spacing, I/Imax
2 2 -1, 2.710, 20
2 0 -2, 2.209, 59
4 0 -1, 2.064, 25
0 4 0, 2.054, 69
1 3 1, 2.043, 16
2 2 1, 2.015, 100
2 2 -2, 1.945, 17
3 3 -1, 1.919, 25
4 0 0, 1.877, 15
4 2 -1, 1.845, 42
0 2 2, 1.816, 23
2 4 -2, 1.504, 23

12.
Computed X-ray powder pattern of LiLa14Y for Cu Kα (weighted mean of Kα1 and Kα2), from a crystal structure in Alexandria, relaxed with GGA-PBE.

```
data_LiLa14Y
_chemical_formula_sum 'Li1 La14 Y1'
_space_group_name_H-M_alt 'P 4/m m m'
_space_group_IT_number 123
_space_group_name_Hall '-P 4 2'
_cell_length_a 7.3556
_cell_length_b 7.3556
_cell_length_c 10.4954
_cell_angle_alpha 90.00
_cell_angle_beta 90.00
_cell_angle_gamma 90.00
loop_
_atom_site_label
_atom_site_type_symbol
_atom_site_fract_x
_atom_site_fract_y
_atom_site_fract_z
_atom_site_occupancy
Li1 Li 0.0000 0.0000 0.0000 1
La1 La 0.0000 0.0000 0.5000 1
La2 La 0.0000 0.5000 0.0000 1
La3 La 0.0000 0.5000 0.5000 1
La4 La 0.2488 0.2488 0.2480 1
La5 La 0.5000 0.5000 0.5000 1
Y1 Y 0.5000 0.5000 0.0000 1
```

Peak list (12 most intense, 2θ = 10–90°, in order of rising 2θ)
hkl, d_spacing, I/Imax
2 0 2, 3.012, 100
0 0 4, 2.624, 17
2 2 0, 2.601, 33
2 2 4, 1.847, 24
4 0 0, 1.839, 12
2 0 6, 1.580, 15
4 2 2, 1.569, 28
4 0 4, 1.506, 12
4 2 6, 1.198, 12
6 0 2, 1.194, 6
2 2 8, 1.171, 5
6 2 0, 1.163, 5